Calculated X-ray diffraction stick pattern of SmHgI3 for CuKα, from a crystal structure in Alexandria, relaxed with PBE.
Peak positions follow from Bragg's law for the DFT cell and can differ from measured ones.

Peak list (6 most intense, 10° ≤ 2θ ≤ 90°, sorted by position)
Position (°2θ)  d_spacing  I (rel.)
18.4  4.822  57
25.0  3.557  87
28.4  3.144  63
30.2  2.957  100
37.9  2.372  46
43.7  2.073  63

Cell and atoms:
a b c (Å): 9.9096 9.9096 9.9096
angles (deg): 49.46 49.46 49.46
Element x y z (fractional)
Sm: 0.1671 0.1671 0.1671
Sm: 0.8329 0.8329 0.8329
Hg: 0.3776 0.3776 0.3776
Hg: 0.6224 0.6224 0.6224
I: 0.0747 0.0775 0.5772
I: 0.0775 0.5772 0.0747
I: 0.4228 0.9225 0.9253
I: 0.5772 0.0747 0.0775
I: 0.9225 0.9253 0.4228
I: 0.9253 0.4228 0.9225